1.
Starting from a structure optimized by DFT (GGA-PBE), the X-ray powder pattern of HoMgNi2H8 was simulated for CuKα.
Kinematic intensities with the Lorentz-polarization factor, no thermal factor.

The 12 most intense peaks (10 to 80 degrees two-theta), most intense first:
- 2.849 Å, intensity 100
- 2.298 Å, intensity 61
- 3.867 Å, intensity 56
- 2.524 Å, intensity 35
- 1.814 Å, intensity 26
- 1.789 Å, intensity 25
- 1.424 Å, intensity 25
- 1.412 Å, intensity 22
- 5.438 Å, intensity 13
- 1.699 Å, intensity 11
- 1.366 Å, intensity 10
- 1.327 Å, intensity 10

Lattice parameters (Å, degrees): 6.051 6.051 6.051 44.64 44.64 44.64
Fractional positions:
Ho  0.000  0.000  0.000
Mg  0.500  0.500  0.500
Ni  0.230  0.230  0.230
Ni  0.770  0.770  0.770
H  0.091  0.809  0.411
H  0.191  0.589  0.909
H  0.322  0.322  0.322
H  0.411  0.091  0.809
H  0.589  0.909  0.191
H  0.678  0.678  0.678
H  0.809  0.411  0.091
H  0.909  0.191  0.589

=====

2.
Starting from a structure optimized by DFT (GGA-PBE), the X-ray powder pattern of Na2HoH6 was simulated for CuKα.
Kinematic intensities with the Lorentz-polarization factor, no thermal factor.

The 12 most intense peaks (10 to 80 degrees two-theta), most intense first:
- 4.576 Å, intensity 100
- 2.802 Å, intensity 74
- 2.390 Å, intensity 57
- 1.618 Å, intensity 28
- 3.963 Å, intensity 28
- 1.818 Å, intensity 26
- 1.525 Å, intensity 19
- 1.340 Å, intensity 18
- 1.981 Å, intensity 15
- 1.772 Å, intensity 12
- 1.253 Å, intensity 12
- 1.401 Å, intensity 9

Lattice parameters (Å, degrees): 5.604 5.604 5.604 60.00 60.00 60.00
Fractional positions:
Na  0.250  0.250  0.250
Na  0.750  0.750  0.750
Ho  0.000  0.000  0.000
H  0.266  0.266  0.734
H  0.266  0.734  0.266
H  0.266  0.734  0.734
H  0.734  0.266  0.266
H  0.734  0.266  0.734
H  0.734  0.734  0.266

=====

3.
Starting from a structure optimized by DFT (GGA-PBE), the X-ray powder pattern of NdHoH was simulated for CuKα.
Kinematic intensities with the Lorentz-polarization factor, no thermal factor.

The 12 most intense peaks (10 to 80 degrees two-theta), most intense first:
- 2.779 Å, intensity 100
- 2.873 Å, intensity 24
- 3.176 Å, intensity 23
- 1.546 Å, intensity 22
- 1.640 Å, intensity 21
- 1.834 Å, intensity 20
- 1.531 Å, intensity 17
- 2.130 Å, intensity 16
- 1.222 Å, intensity 8
- 1.390 Å, intensity 4
- 1.309 Å, intensity 4
- 1.588 Å, intensity 3

Lattice parameters (Å, degrees): 3.667 3.667 5.745 90.00 90.00 120.00
Fractional positions:
Nd  0.000  0.000  0.000
Ho  0.333  0.667  0.484
H  0.667  0.333  0.259